Simulated X-ray diffraction stick pattern of Y4PN2 for a wavelength of 1.5418 Å, from a DFT-relaxed cell (GGA-PBE, Alexandria).
Neutral-atom scattering factors, no anomalous dispersion.

Structure:
a = 5.2824 Å, b = 5.2824 Å, c = 11.2957 Å
α = 90.00°, β = 90.00°, γ = 90.00°
Sites, in units of the cell vectors:
Y  0.0000  0.0000  0.2488
Y  0.0000  0.0000  0.7512
Y  0.0000  0.5000  0.0000
Y  0.0000  0.5000  0.5000
Y  0.5000  0.0000  0.0000
Y  0.5000  0.0000  0.5000
Y  0.5000  0.5000  0.2512
Y  0.5000  0.5000  0.7488
P  0.0000  0.0000  0.5000
P  0.5000  0.5000  0.0000
N  0.0000  0.0000  0.0590
N  0.0000  0.0000  0.9410
N  0.5000  0.5000  0.4410
N  0.5000  0.5000  0.5590

Most intense lines, 10° ≤ 2θ ≤ 90°, in order of rising 2θ:
- 2θ 28.65, intensity 100.0, hkl 1 1 2
- 2θ 31.69, intensity 31.1, hkl 0 0 4
- 2θ 33.94, intensity 58.2, hkl 2 0 0
- 2θ 47.11, intensity 39.7, hkl 2 0 4
- 2θ 48.76, intensity 19.9, hkl 2 2 0
- 2θ 57.54, intensity 27.8, hkl 3 1 2